# 1
Theoretical PXRD pattern
Compound: TiAg8S6
Radiation: Cu Kα X-rays
Structure: a crystal structure in the Materials Project, relaxed with GGA-PBE
Neutral-atom scattering factors, no anomalous dispersion.

Most intense lines, 2θ from 10° to 80°, in order of rising 2θ:
2theta	d/Å	I/Imax
14.31	6.188	27
28.59	3.122	32
28.85	3.094	80
31.17	2.870	28
31.44	2.845	27
32.74	2.735	100
35.04	2.561	33
35.72	2.514	46
43.52	2.080	33
47.82	1.902	51

```
data_TiAg8S6
_space_group_name_H-M_alt 'P 1'
_space_group_IT_number 1
_space_group_name_Hall 'P 1'
_cell_length_a 15.3496
_cell_length_b 7.5720
_cell_length_c 10.7385
_cell_angle_alpha 90.00
_cell_angle_beta 90.00
_cell_angle_gamma 90.00
loop_
_atom_site_label
_atom_site_fract_x
_atom_site_fract_y
_atom_site_fract_z
Ti1 0.1274 0.2433 0.0000
Ti2 0.3726 0.7433 0.5000
Ti3 0.6274 0.2567 0.0000
Ti4 0.8726 0.7567 0.5000
Ag1 0.0191 0.5030 0.2432
Ag2 0.0507 0.7208 0.0109
Ag3 0.0800 0.0613 0.3301
Ag4 0.0825 0.1046 0.6778
Ag5 0.1226 0.7271 0.4784
Ag6 0.2268 0.3775 0.6745
Ag7 0.2289 0.5061 0.2840
Ag8 0.2354 0.0491 0.5011
Ag9 0.2646 0.5491 0.0011
Ag10 0.2711 0.0061 0.7840
Ag11 0.2732 0.8775 0.1745
Ag12 0.3774 0.2271 0.9784
Ag13 0.4175 0.6046 0.1778
Ag14 0.4200 0.5613 0.8301
Ag15 0.4493 0.2208 0.5109
Ag16 0.4809 0.0030 0.7432
Ag17 0.5191 0.9970 0.2432
Ag18 0.5507 0.7792 0.0109
Ag19 0.5800 0.4387 0.3301
Ag20 0.5825 0.3954 0.6778
Ag21 0.6226 0.7729 0.4784
Ag22 0.7268 0.1225 0.6745
Ag23 0.7289 0.9939 0.2840
Ag24 0.7354 0.4509 0.5011
Ag25 0.7646 0.9509 0.0011
Ag26 0.7711 0.4939 0.7840
Ag27 0.7732 0.6225 0.1745
Ag28 0.8774 0.2729 0.9784
Ag29 0.9175 0.8954 0.1778
Ag30 0.9200 0.9387 0.8301
Ag31 0.9493 0.2792 0.5109
Ag32 0.9809 0.4970 0.7432
S1 0.0065 0.2219 0.1254
S2 0.1207 0.2932 0.4902
S3 0.1214 0.7612 0.2411
S4 0.1222 0.9861 0.8887
S5 0.1281 0.4860 0.8704
S6 0.2468 0.2372 0.1289
S7 0.2532 0.7372 0.6289
S8 0.3719 0.9860 0.3704
S9 0.3778 0.4861 0.3887
S10 0.3786 0.2612 0.7411
S11 0.3793 0.7932 0.9902
S12 0.4935 0.7219 0.6254
S13 0.5065 0.2781 0.1254
S14 0.6207 0.2068 0.4902
S15 0.6214 0.7388 0.2411
S16 0.6222 0.5139 0.8887
S17 0.6281 0.0140 0.8704
S18 0.7468 0.2628 0.1289
S19 0.7532 0.7628 0.6289
S20 0.8719 0.5140 0.3704
S21 0.8778 0.0139 0.3887
S22 0.8786 0.2388 0.7411
S23 0.8793 0.7068 0.9902
S24 0.9935 0.7781 0.6254
```

# 2
Theoretical PXRD pattern
Compound: Nb3Te4
Radiation: Cu Kα X-rays
Structure: a crystal structure in the Materials Project, relaxed with GGA-PBE
Neutral-atom scattering factors, no anomalous dispersion.

Most intense lines, 2θ from 10° to 80°, in order of rising 2θ:
2theta	d/Å	I/Imax
28.53	3.129	36
29.43	3.035	24
30.97	2.888	67
34.45	2.604	72
35.21	2.549	100
41.45	2.179	38
42.60	2.122	25
49.07	1.857	29
61.95	1.498	26
75.50	1.259	36

```
data_Nb3Te4
_space_group_name_H-M_alt 'P 1'
_space_group_IT_number 1
_space_group_name_Hall 'P 1'
_cell_length_a 10.8394
_cell_length_b 10.8394
_cell_length_c 3.6631
_cell_angle_alpha 90.00
_cell_angle_beta 90.00
_cell_angle_gamma 120.00
loop_
_atom_site_label
_atom_site_fract_x
_atom_site_fract_y
_atom_site_fract_z
Nb1 0.1027 0.6141 0.2500
Nb2 0.3859 0.4886 0.2500
Nb3 0.4886 0.1027 0.7500
Nb4 0.5114 0.8973 0.2500
Nb5 0.6141 0.5114 0.7500
Nb6 0.8973 0.3859 0.7500
Te1 0.0652 0.3385 0.2500
Te2 0.2732 0.9348 0.2500
Te3 0.3333 0.6667 0.7500
Te4 0.3385 0.2732 0.7500
Te5 0.6615 0.7268 0.2500
Te6 0.6667 0.3333 0.2500
Te7 0.7268 0.0652 0.7500
Te8 0.9348 0.6615 0.7500
```

# 3
Theoretical PXRD pattern
Compound: EuZrO3
Radiation: Cu Kα X-rays
Structure: a crystal structure in the Materials Project, relaxed with GGA-PBE
Neutral-atom scattering factors, no anomalous dispersion.

Most intense lines, 2θ from 10° to 80°, in order of rising 2θ:
2theta	d/Å	I/Imax
21.17	4.197	3
30.11	2.968	100
37.10	2.423	9
43.10	2.099	31
48.50	1.877	2
53.47	1.714	40
62.60	1.484	19
71.02	1.327	17
75.06	1.266	3
79.03	1.212	6

```
data_EuZrO3
_space_group_name_H-M_alt 'P 1'
_space_group_IT_number 1
_space_group_name_Hall 'P 1'
_cell_length_a 4.1973
_cell_length_b 4.1973
_cell_length_c 4.1973
_cell_angle_alpha 90.00
_cell_angle_beta 90.00
_cell_angle_gamma 90.00
loop_
_atom_site_label
_atom_site_fract_x
_atom_site_fract_y
_atom_site_fract_z
Eu1 0.0000 0.0000 0.0000
Zr1 0.5000 0.5000 0.5000
O1 0.0000 0.5000 0.5000
O2 0.5000 0.0000 0.5000
O3 0.5000 0.5000 0.0000
```

# 4
Theoretical PXRD pattern
Compound: Ba2LaIrO6
Radiation: Cu Kα X-rays
Structure: a crystal structure in the Materials Project, relaxed with GGA-PBE
Neutral-atom scattering factors, no anomalous dispersion.

Most intense lines, 2θ from 10° to 80°, in order of rising 2θ:
2theta	d/Å	I/Imax
29.06	3.073	33
29.18	3.061	67
29.30	3.049	100
41.75	2.163	37
41.87	2.157	18
51.51	1.774	14
51.69	1.768	22
51.94	1.761	48
60.76	1.524	17
68.69	1.366	13

```
data_Ba2LaIrO6
_space_group_name_H-M_alt 'P 1'
_space_group_IT_number 1
_space_group_name_Hall 'P 1'
_cell_length_a 6.0997
_cell_length_b 6.0997
_cell_length_c 6.1465
_cell_angle_alpha 120.01
_cell_angle_beta 120.01
_cell_angle_gamma 59.92
loop_
_atom_site_label
_atom_site_fract_x
_atom_site_fract_y
_atom_site_fract_z
Ba1 0.2482 0.2482 0.2458
Ba2 0.7518 0.7518 0.7542
La1 0.0000 0.0000 0.5000
Ir1 0.5000 0.5000 0.0000
O1 0.2471 0.7082 0.2055
O2 0.2715 0.2715 0.7289
O3 0.2918 0.7529 0.7945
O4 0.7082 0.2471 0.2055
O5 0.7285 0.7285 0.2711
O6 0.7529 0.2918 0.7945
```

# 5
Theoretical PXRD pattern
Compound: Li4CuF7
Radiation: Cu Kα X-rays
Structure: a crystal structure in the Materials Project, relaxed with GGA-PBE
Neutral-atom scattering factors, no anomalous dispersion.

Most intense lines, 2θ from 10° to 80°, in order of rising 2θ:
2theta	d/Å	I/Imax
14.73	6.014	100
19.82	4.479	71
22.16	4.012	66
24.82	3.588	59
27.16	3.283	80
34.73	2.583	27
39.38	2.288	21
39.58	2.277	21
40.18	2.245	37
60.75	1.525	17

```
data_Li4CuF7
_space_group_name_H-M_alt 'P 1'
_space_group_IT_number 1
_space_group_name_Hall 'P 1'
_cell_length_a 7.5873
_cell_length_b 7.5873
_cell_length_c 5.3319
_cell_angle_alpha 99.01
_cell_angle_beta 99.01
_cell_angle_gamma 72.20
loop_
_atom_site_label
_atom_site_fract_x
_atom_site_fract_y
_atom_site_fract_z
Li1 0.0722 0.1970 0.2416
Li2 0.1970 0.0722 0.7416
Li3 0.2612 0.4430 0.6924
Li4 0.4430 0.2612 0.1924
Li5 0.5570 0.7388 0.8076
Li6 0.7388 0.5570 0.3076
Li7 0.8030 0.9278 0.2584
Li8 0.9278 0.8030 0.7584
Cu1 0.2620 0.7380 0.2500
Cu2 0.7380 0.2620 0.7500
F1 0.0527 0.9473 0.2500
F2 0.1263 0.2817 0.5757
F3 0.1594 0.6542 0.9193
F4 0.2817 0.1263 0.0757
F5 0.3140 0.5006 0.3670
F6 0.3458 0.8406 0.5807
F7 0.4994 0.6860 0.1330
F8 0.5006 0.3140 0.8670
F9 0.6542 0.1594 0.4193
F10 0.6860 0.4994 0.6330
F11 0.7183 0.8737 0.9243
F12 0.8406 0.3458 0.0807
F13 0.8737 0.7183 0.4243
F14 0.9473 0.0527 0.7500
```

# 6
Theoretical PXRD pattern
Compound: Sn
Radiation: Cu Kα X-rays
Structure: a crystal structure in the Materials Project, relaxed with GGA-PBE
Neutral-atom scattering factors, no anomalous dispersion.

Most intense lines, 2θ from 10° to 80°, in order of rising 2θ:
2theta	d/Å	I/Imax
31.20	2.867	100
33.98	2.638	80
35.08	2.558	74
42.91	2.108	21
46.46	1.955	17
54.24	1.691	11
56.58	1.627	39
58.79	1.571	34
63.91	1.457	27
65.08	1.433	13

```
data_Sn
_space_group_name_H-M_alt 'P 1'
_space_group_IT_number 1
_space_group_name_Hall 'P 1'
_cell_length_a 3.3824
_cell_length_b 3.9093
_cell_length_c 4.2157
_cell_angle_alpha 90.00
_cell_angle_beta 90.00
_cell_angle_gamma 90.00
loop_
_atom_site_label
_atom_site_fract_x
_atom_site_fract_y
_atom_site_fract_z
Sn1 0.0000 0.0000 0.0000
Sn2 0.5000 0.5000 0.5000
```

# 7
Theoretical PXRD pattern
Compound: La3SbO7
Radiation: Cu Kα X-rays
Structure: a crystal structure in the Materials Project, relaxed with GGA-PBE
Neutral-atom scattering factors, no anomalous dispersion.

Most intense lines, 2θ from 10° to 80°, in order of rising 2θ:
2theta	d/Å	I/Imax
27.82	3.207	100
28.16	3.169	91
32.03	2.794	22
32.63	2.744	42
46.37	1.958	69
54.55	1.682	11
54.75	1.677	11
55.14	1.666	27
55.73	1.649	17
57.47	1.604	10

```
data_La3SbO7
_space_group_name_H-M_alt 'P 1'
_space_group_IT_number 1
_space_group_name_Hall 'P 1'
_cell_length_a 6.7845
_cell_length_b 6.7845
_cell_length_c 7.8325
_cell_angle_alpha 90.00
_cell_angle_beta 90.00
_cell_angle_gamma 69.09
loop_
_atom_site_label
_atom_site_fract_x
_atom_site_fract_y
_atom_site_fract_z
La1 0.0000 0.0000 0.0000
La2 0.0000 0.0000 0.5000
La3 0.0660 0.4770 0.7500
La4 0.4770 0.0660 0.2500
La5 0.5230 0.9340 0.7500
La6 0.9340 0.5230 0.2500
Sb1 0.5000 0.5000 0.0000
Sb2 0.5000 0.5000 0.5000
O1 0.1076 0.1539 0.2500
O2 0.1539 0.1076 0.7500
O3 0.1896 0.5596 0.0319
O4 0.1896 0.5596 0.4681
O5 0.4256 0.5744 0.7500
O6 0.4404 0.8104 0.0319
O7 0.4404 0.8104 0.4681
O8 0.5596 0.1896 0.5319
O9 0.5596 0.1896 0.9681
O10 0.5744 0.4256 0.2500
O11 0.8104 0.4404 0.5319
O12 0.8104 0.4404 0.9681
O13 0.8461 0.8924 0.2500
O14 0.8924 0.8461 0.7500
```